Entry 1:
The following is a simulated X-ray diffraction stick pattern of Rb2AgAuF6. It was derived from a structure optimized by DFT (PBE), using a wavelength of 1.5418 Å.

Principal peaks in the range 10 to 80 degrees two-theta, by angle:
20.1°, intensity 16
27.2°, intensity 100
28.5°, intensity 44
36.9°, intensity 20
40.8°, intensity 30
47.3°, intensity 21
49.7°, intensity 38
56.1°, intensity 21
60.7°, intensity 11
75.7°, intensity 12

```
Rb2AgAuF6
1.0
-3.1301 3.1301 4.8750
3.1301 -3.1301 4.8750
3.1301 3.1301 -4.8750
Rb Ag Au F
2 1 1 6
direct
0.2500 0.7500 0.5000 Rb
0.7500 0.2500 0.5000 Rb
0.0000 0.0000 0.0000 Ag
0.5000 0.5000 0.0000 Au
0.2198 0.2198 0.0000 F
0.2699 0.2699 0.5398 F
0.2699 0.7301 0.0000 F
0.7301 0.2699 0.0000 F
0.7301 0.7301 0.4602 F
0.7802 0.7802 0.0000 F
```



Entry 2:
The following is a simulated X-ray diffraction stick pattern of RbAgAuF6. It was derived from a structure optimized by DFT (PBE), using a wavelength of 1.5418 Å.

Principal peaks in the range 10 to 80 degrees two-theta, by angle:
16.1°, intensity 41
16.7°, intensity 100
23.0°, intensity 95
23.5°, intensity 87
23.9°, intensity 88
27.5°, intensity 59
29.1°, intensity 87
34.0°, intensity 44
45.5°, intensity 55
49.6°, intensity 40

```
RbAgAuF6
1.0
5.3165 0.0000 0.0000
-0.1023 6.1351 0.0000
-0.0889 -2.7073 5.5182
Rb Ag Au F
1 1 1 6
direct
0.0000 0.0000 0.0000 Rb
0.5002 0.3207 0.6797 Ag
0.4996 0.6578 0.3419 Au
0.2925 0.6541 0.0667 F
0.3003 0.9792 0.6273 F
0.3012 0.3877 0.3656 F
0.6992 0.3729 0.0205 F
0.6988 0.6351 0.6113 F
0.7054 0.9339 0.3445 F
```



Entry 3:
The following is a simulated X-ray diffraction stick pattern of ScAgAuF2. It was derived from a structure optimized by DFT (PBE), using a wavelength of 1.5418 Å.

Principal peaks in the range 10 to 80 degrees two-theta, by angle:
20.3°, intensity 100
26.2°, intensity 26
28.8°, intensity 61
33.2°, intensity 33
39.2°, intensity 39
41.3°, intensity 36
44.6°, intensity 38
46.4°, intensity 24
54.0°, intensity 32
58.3°, intensity 24

```
ScAgAuF2
1.0
4.3767 0.0000 0.0000
0.0000 4.3767 0.0000
0.0000 0.0000 5.3916
Sc Ag Au F
1 1 1 2
direct
0.0000 0.0000 0.0000 Sc
0.5000 0.5000 0.0000 Ag
0.5000 0.5000 0.5000 Au
0.0000 0.5000 0.5000 F
0.5000 0.0000 0.5000 F
```



Entry 4:
The following is a simulated X-ray diffraction stick pattern of Ga3Ag5Au. It was derived from a structure optimized by DFT (PBE), using a wavelength of 1.5418 Å.

Principal peaks in the range 10 to 80 degrees two-theta, by angle:
23.2°, intensity 65
31.4°, intensity 100
32.7°, intensity 38
37.2°, intensity 34
37.7°, intensity 44
37.7°, intensity 38
39.6°, intensity 47
40.6°, intensity 45
42.0°, intensity 45
51.0°, intensity 37

```
Ga3Ag5Au
1.0
6.1664 -3.8313 0.0000
6.1664 3.8313 0.0000
-2.0713 0.0000 7.9227
Ga Ag Au
6 10 2
direct
0.0000 0.0000 0.0000 Ga
0.0000 0.0000 0.5000 Ga
0.3089 0.3089 0.2628 Ga
0.3206 0.3206 0.9296 Ga
0.6794 0.6794 0.0704 Ga
0.6911 0.6911 0.7372 Ga
0.0611 0.6880 0.7257 Ag
0.2682 0.2682 0.5713 Ag
0.3120 0.9389 0.2743 Ag
0.3267 0.6733 0.5000 Ag
0.4996 0.4996 0.1795 Ag
0.5004 0.5004 0.8205 Ag
0.6733 0.3267 0.5000 Ag
0.6880 0.0611 0.7257 Ag
0.7318 0.7318 0.4287 Ag
0.9389 0.3120 0.2743 Ag
0.1184 0.1184 0.7962 Au
0.8816 0.8816 0.2038 Au
```



Copy entry 2 word for word.
The following is a simulated X-ray diffraction stick pattern of RbAgAuF6. It was derived from a structure optimized by DFT (PBE), using a wavelength of 1.5418 Å.

Principal peaks in the range 10 to 80 degrees two-theta, by angle:
16.1°, intensity 41
16.7°, intensity 100
23.0°, intensity 95
23.5°, intensity 87
23.9°, intensity 88
27.5°, intensity 59
29.1°, intensity 87
34.0°, intensity 44
45.5°, intensity 55
49.6°, intensity 40

```
RbAgAuF6
1.0
5.3165 0.0000 0.0000
-0.1023 6.1351 0.0000
-0.0889 -2.7073 5.5182
Rb Ag Au F
1 1 1 6
direct
0.0000 0.0000 0.0000 Rb
0.5002 0.3207 0.6797 Ag
0.4996 0.6578 0.3419 Au
0.2925 0.6541 0.0667 F
0.3003 0.9792 0.6273 F
0.3012 0.3877 0.3656 F
0.6992 0.3729 0.0205 F
0.6988 0.6351 0.6113 F
0.7054 0.9339 0.3445 F
```